Computed XRD peak list of SmPa2CuO8 for copper Kα, from a DFT-relaxed cell (PBE, Alexandria).

Principal peaks in the range 2θ = 5–70°, by angle:
- 2θ 14.0, I 30, hkl 0 0 1
- 2θ 24.2, I 100, hkl 0 1 1
- 2θ 34.4, I 80, hkl 1 1 0
- 2θ 34.6, I 57, hkl 1 0 2
- 2θ 42.5, I 39, hkl 2 0 1
- 2θ 49.6, I 32, hkl 0 2 2
- 2θ 55.7, I 23, hkl 1 2 1
- 2θ 56.1, I 15, hkl 1 1 3
- 2θ 61.5, I 15, hkl 3 0 0
- 2θ 61.7, I 23, hkl 2 1 2

Crystal structure
Unit cell a=5.2212 b=5.2212 c=6.3252 alpha=90.00 beta=90.00 gamma=120.00
Space group P-3m1 (No. 164)
Symmetry-distinct sites (fractional):
Sm1 0.0000 0.0000 0.0000 x1
Pa1 0.3333 0.6667 0.3703 x2
Cu1 0.0000 0.0000 0.5000 x1
O1 0.1715 0.3430 0.6786 x6
O2 0.3333 0.6667 0.0692 x2